Record 1
Diffraction record for Dy3Mg4Cd4. The X-ray powder pattern is computed, not measured: it uses the GGA-PBE geometry in Alexandria and a wavelength of 1.5418 Å.
No peak broadening, texture or thermal motion is included.

The 6 most intense peaks (5° ≤ 2θ ≤ 70°), sorted by position:
5.210 Å, 2θ 17.0, I = 446, hkl 0 0 3
2.784 Å, 2θ 32.1, I = 656, hkl 1 -1 1
2.720 Å, 2θ 32.9, I = 615, hkl 1 0 3
2.660 Å, 2θ 33.7, I = 988, hkl -1 1 2
2.504 Å, 2θ 35.9, I = 540, hkl 0 2 -1
2.472 Å, 2θ 36.4, I = 1000, hkl 0 1 5

Crystal structure
```
data_Dy3Mg4Cd4
_cell_length_a 3.4291
_cell_length_b 5.0081
_cell_length_c 15.9174
_cell_angle_alpha 99.00
_cell_angle_beta 96.14
_cell_angle_gamma 90.02
_symmetry_space_group_name_H-M 'P -1'
_symmetry_Int_Tables_number 2
_symmetry_space_group_name_Hall '-P 1'
loop_
_atom_site_label
_atom_site_type_symbol
_atom_site_fract_x
_atom_site_fract_y
_atom_site_fract_z
_atom_site_occupancy
Dy1 Dy 0.0000 0.0000 0.0000 1
Dy2 Dy 0.1423 0.6402 0.2811 1
Mg1 Mg 0.2639 0.2642 0.5282 1
Mg2 Mg 0.4040 0.9079 0.8156 1
Cd1 Cd 0.3153 0.8167 0.6328 1
Cd2 Cd 0.4525 0.4529 0.9057 1
```

=====

Record 2
Diffraction record for Dy2Mg3Cd2. The X-ray powder pattern is computed, not measured: it uses the GGA-PBE geometry in Alexandria and a wavelength of 1.5418 Å.
No peak broadening, texture or thermal motion is included.

The 6 most intense peaks (5° ≤ 2θ ≤ 70°), sorted by position:
4.373 Å, 2θ 20.3, I = 740, hkl 1 1 0
3.756 Å, 2θ 23.7, I = 212, hkl 0 0 2
2.610 Å, 2θ 34.4, I = 973, hkl 2 0 -3
2.574 Å, 2θ 34.9, I = 1000, hkl 0 2 0
1.831 Å, 2θ 49.8, I = 224, hkl 2 2 -3
1.493 Å, 2θ 62.2, I = 226, hkl 5 1 -4

Crystal structure
```
data_Dy2Mg3Cd2
_cell_length_a 8.9289
_cell_length_b 5.1390
_cell_length_c 8.0758
_cell_angle_alpha 90.00
_cell_angle_beta 111.52
_cell_angle_gamma 90.00
_symmetry_space_group_name_H-M 'C 1 2/m 1'
_symmetry_Int_Tables_number 12
_symmetry_space_group_name_Hall '-C 2y'
loop_
_atom_site_label
_atom_site_type_symbol
_atom_site_fract_x
_atom_site_fract_y
_atom_site_fract_z
_atom_site_occupancy
Dy1 Dy 0.0796 0.0000 0.2360 1
Mg1 Mg 0.0000 0.5000 0.5000 1
Mg2 Mg 0.1520 0.5000 0.9567 1
Cd1 Cd 0.2139 0.0000 0.6466 1
```

=====

Record 3
Diffraction record for DyMg9Cd3. The X-ray powder pattern is computed, not measured: it uses the GGA-PBE geometry in Alexandria and a wavelength of 1.5418 Å.
No peak broadening, texture or thermal motion is included.

The 6 most intense peaks (5° ≤ 2θ ≤ 70°), sorted by position:
7.122 Å, 2θ 12.4, I = 419, hkl 0 0 1
5.068 Å, 2θ 17.5, I = 358, hkl 1 1 -1
3.561 Å, 2θ 25.0, I = 315, hkl 0 0 2
2.553 Å, 2θ 35.2, I = 500, hkl 2 2 0
2.534 Å, 2θ 35.4, I = 541, hkl 2 2 -2
2.513 Å, 2θ 35.7, I = 1000, hkl 0 4 2

Crystal structure
```
data_DyMg9Cd3
_cell_length_a 5.8985
_cell_length_b 14.1754
_cell_length_c 7.6770
_cell_angle_alpha 90.00
_cell_angle_beta 111.90
_cell_angle_gamma 90.00
_symmetry_space_group_name_H-M 'C 1 2/m 1'
_symmetry_Int_Tables_number 12
_symmetry_space_group_name_Hall '-C 2y'
loop_
_atom_site_label
_atom_site_type_symbol
_atom_site_fract_x
_atom_site_fract_y
_atom_site_fract_z
_atom_site_occupancy
Dy1 Dy 0.0000 0.0000 0.0000 1
Mg1 Mg 0.0000 0.0000 0.5000 1
Mg2 Mg 0.1040 0.3937 0.2104 1
Mg3 Mg 0.1724 0.1757 0.3475 1
Cd1 Cd 0.0000 0.5000 0.5000 1
Cd2 Cd 0.2500 0.2500 0.0000 1
```

=====

Record 4
Diffraction record for Dy3Mg7Cd2. The X-ray powder pattern is computed, not measured: it uses the GGA-PBE geometry in Alexandria and a wavelength of 1.5418 Å.
No peak broadening, texture or thermal motion is included.

The 6 most intense peaks (5° ≤ 2θ ≤ 70°), sorted by position:
5.478 Å, 2θ 16.2, I = 1000, hkl 0 6 0
4.039 Å, 2θ 22.0, I = 528, hkl 1 5 0
2.921 Å, 2θ 30.6, I = 514, hkl 1 1 1
2.678 Å, 2θ 33.5, I = 702, hkl 1 5 1
2.581 Å, 2θ 34.8, I = 618, hkl 1 11 0
2.487 Å, 2θ 36.1, I = 532, hkl 1 7 1

Crystal structure
```
data_Dy3Mg7Cd2
_cell_length_a 5.1202
_cell_length_b 32.8670
_cell_length_c 3.5769
_cell_angle_alpha 90.00
_cell_angle_beta 90.00
_cell_angle_gamma 90.00
_symmetry_space_group_name_H-M 'C m m m'
_symmetry_Int_Tables_number 65
_symmetry_space_group_name_Hall '-C 2 2'
loop_
_atom_site_label
_atom_site_type_symbol
_atom_site_fract_x
_atom_site_fract_y
_atom_site_fract_z
_atom_site_occupancy
Dy1 Dy 0.0000 0.0000 0.0000 1
Dy2 Dy 0.0000 0.1771 0.0000 1
Mg1 Mg 0.0000 0.0876 0.5000 1
Mg2 Mg 0.0000 0.2695 0.5000 1
Mg3 Mg 0.0000 0.4260 0.0000 1
Mg4 Mg 0.0000 0.5000 0.5000 1
Cd1 Cd 0.0000 0.3547 0.5000 1
```

=====

Record 5
Diffraction record for DyMg15Cd4. The X-ray powder pattern is computed, not measured: it uses the GGA-PBE geometry in Alexandria and a wavelength of 1.5418 Å.
No peak broadening, texture or thermal motion is included.

The 6 most intense peaks (5° ≤ 2θ ≤ 70°), sorted by position:
4.596 Å, 2θ 19.3, I = 511, hkl 1 0 0
3.250 Å, 2θ 27.4, I = 220, hkl 1 1 0
3.141 Å, 2θ 28.4, I = 403, hkl 1 0 5
2.594 Å, 2θ 34.6, I = 1000, hkl 1 1 5
2.298 Å, 2θ 39.2, I = 357, hkl 2 0 0
1.377 Å, 2θ 68.1, I = 259, hkl 3 1 5

Crystal structure
```
data_DyMg15Cd4
_cell_length_a 4.5964
_cell_length_b 4.5964
_cell_length_c 21.5172
_cell_angle_alpha 90.00
_cell_angle_beta 90.00
_cell_angle_gamma 90.00
_symmetry_space_group_name_H-M 'P 4/m m m'
_symmetry_Int_Tables_number 123
_symmetry_space_group_name_Hall '-P 4 2'
loop_
_atom_site_label
_atom_site_type_symbol
_atom_site_fract_x
_atom_site_fract_y
_atom_site_fract_z
_atom_site_occupancy
Dy1 Dy 0.0000 0.0000 0.0000 1
Mg1 Mg 0.0000 0.5000 0.1078 1
Mg2 Mg 0.0000 0.5000 0.3031 1
Mg3 Mg 0.0000 0.5000 0.5000 1
Mg4 Mg 0.5000 0.5000 0.0000 1
Mg5 Mg 0.5000 0.5000 0.2077 1
Mg6 Mg 0.5000 0.5000 0.4011 1
Cd1 Cd 0.0000 0.0000 0.2033 1
Cd2 Cd 0.0000 0.0000 0.4023 1
```

=====

Record 6
Diffraction record for Dy2Mg5Cd. The X-ray powder pattern is computed, not measured: it uses the GGA-PBE geometry in Alexandria and a wavelength of 1.5418 Å.
No peak broadening, texture or thermal motion is included.

The 6 most intense peaks (5° ≤ 2θ ≤ 70°), sorted by position:
3.459 Å, 2θ 25.8, I = 1000, hkl 1 1 1
3.370 Å, 2θ 26.4, I = 367, hkl 2 0 0
2.799 Å, 2θ 32.0, I = 353, hkl 2 0 1
2.383 Å, 2θ 37.7, I = 318, hkl 2 2 0
1.962 Å, 2θ 46.3, I = 376, hkl 3 1 1
1.729 Å, 2θ 52.9, I = 236, hkl 2 2 2

Crystal structure
```
data_Dy2Mg5Cd
_cell_length_a 6.7403
_cell_length_b 6.7403
_cell_length_c 5.0278
_cell_angle_alpha 90.00
_cell_angle_beta 90.00
_cell_angle_gamma 90.00
_symmetry_space_group_name_H-M 'P 4/m m m'
_symmetry_Int_Tables_number 123
_symmetry_space_group_name_Hall '-P 4 2'
loop_
_atom_site_label
_atom_site_type_symbol
_atom_site_fract_x
_atom_site_fract_y
_atom_site_fract_z
_atom_site_occupancy
Dy1 Dy 0.0000 0.5000 0.0000 1
Mg1 Mg 0.0000 0.0000 0.0000 1
Mg2 Mg 0.2851 0.2851 0.5000 1
Cd1 Cd 0.0000 0.0000 0.5000 1
```

=====

Record 7
Diffraction record for Dy3Mg3Cd2. The X-ray powder pattern is computed, not measured: it uses the GGA-PBE geometry in Alexandria and a wavelength of 1.5418 Å.
No peak broadening, texture or thermal motion is included.

The 6 most intense peaks (5° ≤ 2θ ≤ 70°), sorted by position:
4.265 Å, 2θ 20.8, I = 271, hkl 0 1 2
3.704 Å, 2θ 24.0, I = 195, hkl 1 0 4
2.630 Å, 2θ 34.1, I = 1000, hkl 0 1 8
2.608 Å, 2θ 34.4, I = 981, hkl 1 1 0
1.852 Å, 2θ 49.2, I = 352, hkl 2 0 8
1.510 Å, 2θ 61.4, I = 358, hkl 1 2 8

Crystal structure
```
data_Dy3Mg3Cd2
_cell_length_a 5.2167
_cell_length_b 5.2167
_cell_length_c 25.8766
_cell_angle_alpha 90.00
_cell_angle_beta 90.00
_cell_angle_gamma 120.00
_symmetry_space_group_name_H-M 'R 3 m'
_symmetry_Int_Tables_number 160
_symmetry_space_group_name_Hall 'R 3 -2"'
loop_
_atom_site_label
_atom_site_type_symbol
_atom_site_fract_x
_atom_site_fract_y
_atom_site_fract_z
_atom_site_occupancy
Dy1 Dy 0.0000 0.0000 0.0000 1
Dy2 Dy 0.0000 0.0000 0.2474 1
Dy3 Dy 0.0000 0.0000 0.4968 1
Mg1 Mg 0.0000 0.0000 0.1220 1
Mg2 Mg 0.0000 0.0000 0.6251 1
Mg3 Mg 0.0000 0.0000 0.7492 1
Cd1 Cd 0.0000 0.0000 0.3734 1
Cd2 Cd 0.0000 0.0000 0.8727 1
```

=====

Record 8
Diffraction record for NdDy2Mg2Cd2. The X-ray powder pattern is computed, not measured: it uses the GGA-PBE geometry in Alexandria and a wavelength of 1.5418 Å.
No peak broadening, texture or thermal motion is included.

The 6 most intense peaks (5° ≤ 2θ ≤ 70°), sorted by position:
3.622 Å, 2θ 24.6, I = 388, hkl 1 0 4
2.814 Å, 2θ 31.8, I = 761, hkl 1 0 7
2.590 Å, 2θ 34.6, I = 477, hkl 0 1 8
2.533 Å, 2θ 35.4, I = 1000, hkl 1 1 0
1.882 Å, 2θ 48.4, I = 235, hkl 0 2 7
1.418 Å, 2θ 65.9, I = 269, hkl 1 1 15

Crystal structure
```
data_NdDy2Mg2Cd2
_cell_length_a 5.0654
_cell_length_b 5.0654
_cell_length_c 25.6736
_cell_angle_alpha 90.00
_cell_angle_beta 90.00
_cell_angle_gamma 120.00
_symmetry_space_group_name_H-M 'R -3 m'
_symmetry_Int_Tables_number 166
_symmetry_space_group_name_Hall '-R 3 2"'
loop_
_atom_site_label
_atom_site_type_symbol
_atom_site_fract_x
_atom_site_fract_y
_atom_site_fract_z
_atom_site_occupancy
Nd1 Nd 0.0000 0.0000 0.0000 1
Dy1 Dy 0.0000 0.0000 0.1289 1
Mg1 Mg 0.0000 0.0000 0.2653 1
Cd1 Cd 0.0000 0.0000 0.4059 1
```